Diffraction record for Li2Mn3Cr3O12. The X-ray powder pattern is computed, not measured: it uses a DFT-relaxed cell (GGA+U, Alexandria) and a wavelength of 1.5418 Å.
Lines closer than 0.1° are merged.

Atomic structure:
```
Li2Mn3Cr3O12
1.0
5.109 0.000 0.000
0.000 8.788 0.000
-1.772 0.000 4.995
Li Mn Cr O
2 3 3 12
direct
0.000 0.000 0.000
0.500 0.500 0.000
0.000 0.168 0.500
0.000 0.500 0.500
0.000 0.832 0.500
0.500 0.000 0.500
0.500 0.329 0.500
0.500 0.671 0.500
0.220 0.000 0.701
0.233 0.337 0.702
0.233 0.663 0.702
0.252 0.165 0.299
0.252 0.835 0.299
0.269 0.500 0.309
0.731 0.500 0.691
0.748 0.165 0.701
0.748 0.835 0.701
0.767 0.337 0.298
0.767 0.663 0.298
0.780 0.000 0.299
```

Most intense lines, 10 to 80 degrees two-theta, most intense first:
- hkl 0 0 1, d = 4.995 Å, 2θ 17.76, intensity 100
- hkl 1 3 1, d = 2.096 Å, 2θ 43.15, intensity 33
- hkl 1 3 0, d = 2.502 Å, 2θ 35.89, intensity 23
- hkl 2 0 -2, d = 2.124 Å, 2θ 42.56, intensity 17
- hkl 1 3 2, d = 1.632 Å, 2θ 56.39, intensity 10
- hkl 2 0 -1, d = 2.524 Å, 2θ 35.57, intensity 9
- hkl 3 3 -1, d = 1.472 Å, 2θ 63.15, intensity 9
- hkl 1 3 -3, d = 1.513 Å, 2θ 61.28, intensity 8
- hkl 1 3 -1, d = 2.410 Å, 2θ 37.31, intensity 6
- hkl 4 0 0, d = 1.204 Å, 2θ 79.63, intensity 6
- hkl 2 0 -3, d = 1.652 Å, 2θ 55.64, intensity 5
- hkl 1 3 -2, d = 1.945 Å, 2θ 46.71, intensity 5